Diffraction record for Cu2SnSe3. The X-ray diffraction stick pattern is calculated, not measured: it uses a cell relaxed with GGA-PBE and Cu Kα (weighted mean of Kα1 and Kα2).
Kinematic intensities with the Lorentz-polarization factor, no thermal factor.

Atomic structure:
```
data_Cu2SnSe3
_space_group_name_H-M_alt 'P 1'
_space_group_IT_number 1
_cell_length_a 7.0635
_cell_length_b 7.0635
_cell_length_c 13.4587
_cell_angle_alpha 94.92
_cell_angle_beta 94.92
_cell_angle_gamma 119.94
loop_
_space_group_symop_operation_xyz
'x,y,z'
loop_
_atom_site_label
_atom_site_type_symbol
_atom_site_fract_x
_atom_site_fract_y
_atom_site_fract_z
_atom_site_occupancy
Cu1 Cu 0.9997 0.5060 0.2481 1
Cu2 Cu 0.0794 0.9206 0.5000 1
Cu3 Cu 0.4228 0.6016 0.4995 1
Cu4 Cu 0.5060 0.9997 0.7481 1
Cu5 Cu 0.6016 0.4228 0.9995 1
Cu6 Cu 0.6856 0.8507 0.2501 1
Cu7 Cu 0.8507 0.6856 0.7501 1
Cu8 Cu 0.9206 0.0794 0.0000 1
Sn1 Sn 0.1922 0.3425 0.7419 1
Sn2 Sn 0.2620 0.7694 0.9907 1
Sn3 Sn 0.3425 0.1922 0.2419 1
Sn4 Sn 0.7694 0.2620 0.4907 1
Se1 Se 0.0933 0.5993 0.4306 1
Se2 Se 0.1575 0.9660 0.6816 1
Se3 Se 0.2424 0.3813 0.9434 1
Se4 Se 0.3258 0.8057 0.1925 1
Se5 Se 0.3813 0.2424 0.4434 1
Se6 Se 0.5165 0.6780 0.6811 1
Se7 Se 0.5993 0.0933 0.9306 1
Se8 Se 0.6780 0.5165 0.1811 1
Se9 Se 0.7331 0.8831 0.4316 1
Se10 Se 0.8057 0.3258 0.6925 1
Se11 Se 0.8831 0.7331 0.9316 1
Se12 Se 0.9660 0.1575 0.1816 1
```

Main lines, low angle first (10 to 90 degrees two-theta):
2θ/deg  d (Å)  Rel. int.
26.8  3.330  100
26.8  3.321  99
44.4  2.040  70
44.5  2.035  49
44.6  2.030  23
52.7  1.737  35